Record 1
Theoretical powder diffractogram of DyCuSi for CuKα, from a structure optimized by DFT (GGA-PBE).
Peak positions follow from Bragg's law for the DFT cell and can differ from measured ones.

Structural model:
```
DyCuSi
1.0
4.1472 0.0000 0.0000
-2.0736 3.5916 0.0000
0.0000 0.0000 7.4717
Dy Cu Si
2 2 2
Direct
0.0000 0.0000 0.0000
0.0000 0.0000 0.5000
0.3333 0.6667 0.2500
0.6667 0.3333 0.7500
0.3333 0.6667 0.7500
0.6667 0.3333 0.2500
```

Most intense lines, 2θ from 10° to 90°, sorted by position:
2θ (°)	I_rel
24.79	33
34.65	100
43.65	40
48.75	10
55.45	8
56.89	24
67.49	21
74.35	21
80.17	6
81.87	8

Record 2
Theoretical powder diffractogram of DyCuSi for CuKα, from a structure optimized by DFT (GGA-PBE).
Peak positions follow from Bragg's law for the DFT cell and can differ from measured ones.

Structural model:
```
DyCuSi
1.0
4.0694 0.0000 0.0000
-2.0347 3.5242 0.0000
0.0000 0.0000 3.9494
Dy Cu Si
1 1 1
Direct
0.0000 0.0000 0.0000
0.3333 0.6667 0.5000
0.6667 0.3333 0.5000
```

Most intense lines, 2θ from 10° to 90°, sorted by position:
2θ (°)	I_rel
25.27	32
34.10	100
44.53	35
45.96	11
53.17	9
57.25	22
65.92	21
75.29	20
77.38	9
82.03	6

Record 3
Theoretical powder diffractogram of Dy2Cu4Sn5 for CuKα, from a structure optimized by DFT (GGA-PBE).
Peak positions follow from Bragg's law for the DFT cell and can differ from measured ones.

Structural model:
```
Dy2Cu4Sn5
1.0
-2.2480 2.2480 11.8943
2.2480 -2.2480 11.8943
2.2480 2.2480 -11.8943
Dy Cu Sn
2 4 5
Direct
0.0000 0.0000 0.0000
0.3212 0.3212 0.0000
0.4113 0.9113 0.5000
0.4478 0.4478 0.0000
0.5456 0.5456 0.0000
0.9113 0.4113 0.5000
0.1043 0.6043 0.5000
0.2261 0.7261 0.5000
0.6043 0.1043 0.5000
0.7261 0.2261 0.5000
0.8486 0.8486 0.0000
```

Most intense lines, 2θ from 10° to 90°, sorted by position:
2θ (°)	I_rel
29.07	62
30.05	14
31.92	32
33.04	25
36.22	100
39.55	18
40.11	80
56.31	17
58.02	27
70.35	29

Record 4
Theoretical powder diffractogram of DyCu5Sn for CuKα, from a structure optimized by DFT (GGA-PBE).
Peak positions follow from Bragg's law for the DFT cell and can differ from measured ones.

Structural model:
```
DyCu5Sn
1.0
8.2019 0.0000 0.0000
0.0000 4.9948 0.0000
0.0000 0.0000 10.5529
Dy Cu Sn
4 20 4
Direct
0.2478 0.2500 0.0629
0.2522 0.7500 0.5629
0.7478 0.2500 0.4371
0.7522 0.7500 0.9371
0.0588 0.7500 0.1020
0.0653 0.0014 0.3132
0.0653 0.4986 0.3132
0.0865 0.2500 0.5179
0.1863 0.2500 0.7450
0.3137 0.7500 0.2450
0.4135 0.7500 0.0179
0.4347 0.5014 0.8132
0.4347 0.9986 0.8132
0.4412 0.2500 0.6020
0.5588 0.7500 0.3980
0.5653 0.0014 0.1868
0.5653 0.4986 0.1868
0.5865 0.2500 0.9821
0.6863 0.2500 0.7550
0.8137 0.7500 0.2550
0.9135 0.7500 0.4821
0.9347 0.5014 0.6868
0.9347 0.9986 0.6868
0.9412 0.2500 0.8980
0.1401 0.7500 0.8609
0.3599 0.2500 0.3609
0.6401 0.7500 0.6391
0.8599 0.2500 0.1391
```

Most intense lines, 2θ from 10° to 90°, sorted by position:
2θ (°)	I_rel
31.10	34
35.75	48
35.96	40
38.22	79
38.50	100
43.28	35
44.69	46
45.92	44
66.29	36
71.04	26

Record 5
Theoretical powder diffractogram of Dy3Cu4Sn4 for CuKα, from a structure optimized by DFT (GGA-PBE).
Peak positions follow from Bragg's law for the DFT cell and can differ from measured ones.

Structural model:
```
Dy3Cu4Sn4
1.0
-2.2331 3.4787 7.3615
2.2331 -3.4787 7.3615
2.2331 3.4787 -7.3615
Dy Cu Sn
3 4 4
Direct
0.0000 0.0000 0.0000
0.3687 0.8687 0.5000
0.6313 0.1313 0.5000
0.0176 0.3294 0.6882
0.3588 0.6706 0.6882
0.6412 0.3294 0.3118
0.9824 0.6706 0.3118
0.2161 0.2161 0.0000
0.2970 0.5000 0.7970
0.7030 0.5000 0.2030
0.7839 0.7839 0.0000
```

Most intense lines, 2θ from 10° to 90°, sorted by position:
2θ (°)	I_rel
33.03	28
33.21	100
34.09	100
36.61	20
40.39	43
43.14	23
45.17	24
60.58	17
68.39	21
76.19	17

Record 6
Theoretical powder diffractogram of Dy4Cu7Sn11 for CuKα, from a structure optimized by DFT (GGA-PBE).
Peak positions follow from Bragg's law for the DFT cell and can differ from measured ones.

Structural model:
```
Dy4Cu7Sn11
1.0
4.4101 0.0000 0.0000
0.0000 4.4101 0.0000
0.0000 0.0000 25.2557
Dy Cu Sn
4 7 11
Direct
0.0000 0.0000 0.0000
0.0000 0.0000 0.3184
0.5000 0.5000 0.4954
0.5000 0.5000 0.8171
0.0000 0.0000 0.4520
0.0000 0.0000 0.5450
0.0000 0.5000 0.4091
0.0000 0.5000 0.9030
0.5000 0.0000 0.4091
0.5000 0.0000 0.9030
0.5000 0.5000 0.0528
0.0000 0.0000 0.8430
0.0000 0.5000 0.1072
0.0000 0.5000 0.2229
0.0000 0.5000 0.6040
0.0000 0.5000 0.7215
0.5000 0.0000 0.1072
0.5000 0.0000 0.2229
0.5000 0.0000 0.6040
0.5000 0.0000 0.7215
0.5000 0.5000 0.3507
0.5000 0.5000 0.9555
```

Most intense lines, 2θ from 10° to 90°, sorted by position:
2θ (°)	I_rel
28.27	20
29.50	71
32.03	71
35.84	100
38.01	19
40.93	84
46.26	21
55.31	17
59.26	29
71.23	27

Record 7
Theoretical powder diffractogram of DyCuTe2 for CuKα, from a structure optimized by DFT (GGA-PBE).
Peak positions follow from Bragg's law for the DFT cell and can differ from measured ones.

Structural model:
```
DyCuTe2
1.0
4.3554 0.0000 0.0000
-2.1777 3.7719 0.0000
0.0000 0.0000 6.9306
Dy Cu Te
1 1 2
Direct
0.0000 0.0000 0.0000
0.6667 0.3333 0.6238
0.3333 0.6667 0.7284
0.6667 0.3333 0.2466
```

Most intense lines, 2θ from 10° to 90°, sorted by position:
2θ (°)	I_rel
12.77	16
26.91	100
35.17	61
41.47	53
46.07	26
50.13	18
55.47	16
67.02	15
69.30	11
71.57	15

Record 8
Theoretical powder diffractogram of DyCuTe2 for CuKα, from a structure optimized by DFT (GGA-PBE).
Peak positions follow from Bragg's law for the DFT cell and can differ from measured ones.

Structural model:
```
DyCuTe2
1.0
6.9069 0.0000 0.0000
0.0000 4.3395 0.0000
-0.0791 0.0000 7.4816
Dy Cu Te
2 2 4
Direct
0.0000 0.0000 0.0000
0.0000 0.5000 0.5000
0.3510 0.0000 0.3376
0.6490 0.0000 0.6624
0.2610 0.0000 0.6748
0.2659 0.5000 0.1615
0.7341 0.5000 0.8385
0.7390 0.0000 0.3252
```

Most intense lines, 2θ from 10° to 90°, sorted by position:
2θ (°)	I_rel
12.82	21
26.99	48
27.10	100
35.20	48
35.41	37
41.62	28
41.78	55
46.14	20
50.31	17
55.62	14